# CoO2
Simulated powder XRD pattern, Cu Kα (λ = 1.5418 Å). Input: the PBE+U geometry in the Materials Project.
Neutral-atom scattering factors, no anomalous dispersion.

Structure:
a = 2.8294 Å, b = 2.8350 Å, c = 19.4192 Å
α = 88.60°, β = 87.28°, γ = 60.27°
Atoms (fractional coordinates):
Co: 0.0000 0.0000 0.0000
Co: 0.0003 0.0013 0.5004
Co: 0.0010 0.9981 0.7504
Co: 0.9993 0.0010 0.2494
O: 0.3484 0.3348 0.2009
O: 0.3490 0.3338 0.9514
O: 0.3492 0.3351 0.4518
O: 0.3499 0.3319 0.7018
O: 0.6503 0.6671 0.2980
O: 0.6510 0.6662 0.0486
O: 0.6513 0.6675 0.5490
O: 0.6521 0.6643 0.7989

Peak list (12 most intense, 2θ = 10–90°, in order of rising 2θ)
two_theta, Rel. int.
18.3, 100
36.5, 6
36.6, 6
36.7, 7
40.5, 16
41.1, 17
42.0, 14
51.9, 11
53.0, 11
54.4, 7
68.2, 7
69.6, 6